Ho5Se4N: computed X-ray diffraction stick pattern (Cu Ka), based on a GGA-PBE-relaxed structure.

Main lines, sorted by position (2θ = 10–80°):
d [Å], 2θ (°), I (rel.)
3.237, 27.6, 37.6
2.853, 31.4, 29.3
2.779, 32.2, 100.0
2.467, 36.4, 39.7
1.991, 45.6, 41.3
1.965, 46.2, 36.6
1.618, 56.9, 21.3
1.537, 60.2, 18.6
1.403, 66.7, 19.4
1.243, 76.7, 16.3

Structure:
a = 14.532 Å, b = 14.532 Å, c = 14.532 Å
α = 164.46°, β = 164.46°, γ = 22.05°
Fractional positions:
Ho1 0.000 0.000 0.000
Ho2 0.207 0.207 0.000
Ho3 0.421 0.421 0.000
Ho4 0.579 0.579 0.000
Ho5 0.793 0.793 0.000
Se1 0.100 0.100 0.000
Se2 0.309 0.309 0.000
Se3 0.691 0.691 0.000
Se4 0.900 0.900 0.000
N1 0.500 0.500 0.000